Record 1
Starting from a PBE+U-relaxed structure, the X-ray powder pattern of Li4Mn7P6O24 was computed for Cu Kα.

Principal peaks in the range 10° ≤ 2θ ≤ 90°, by angle:
two_theta, intensity
27.19, 100.0
27.38, 31.1
28.16, 29.7
28.71, 73.2
32.33, 27.1
33.81, 26.6

Atomic structure:
```
Li4Mn7P6O24
1.0
6.6460 0.0000 0.0000
-1.6418 8.1350 0.0000
-2.7085 -2.5593 9.0360
Li Mn P O
4 7 6 24
Cartesian
0.0000 0.0000 0.0000
-1.9433 6.9449 2.5514
-0.5141 2.0331 4.2954
0.2529 -1.9409 8.6924
-2.7361 0.1787 8.0425
-2.7538 5.8030 6.3436
1.1565 -0.7401 4.7649
1.0681 4.9598 3.0437
3.0141 5.8243 0.5882
2.6399 2.5243 5.8258
4.5374 1.7834 1.5092
-2.9279 3.4030 8.9826
1.1601 1.6430 2.1384
0.5360 0.6226 7.6062
0.7324 5.3199 7.0097
4.2544 -0.2980 4.0851
4.4095 4.3954 3.5359
-3.1063 2.2822 7.9027
-1.1139 -0.9254 4.7294
0.0465 1.7555 0.9971
-2.6095 4.7473 8.2677
-1.0295 5.3913 3.5362
0.7907 0.3993 2.9821
-0.6624 -0.3962 7.5627
0.8872 5.5938 0.9732
1.1100 2.8411 3.1269
-0.5105 5.9463 6.3373
2.4858 1.5035 1.3903
0.0228 1.9233 8.1746
1.1006 0.9006 6.1537
1.2205 4.0693 6.2753
1.4425 6.8006 4.1250
0.3493 5.0965 8.5202
1.6839 -0.0163 8.4693
3.2846 4.9702 2.6161
4.6410 -0.0400 2.5976
3.5708 -1.7784 7.0979
3.8768 0.9834 4.8694
3.8379 4.1726 4.9758
4.9304 3.0344 3.0567
5.1122 6.2318 0.7304
```

=====

Record 2
Starting from a PBE+U-relaxed structure, the X-ray powder pattern of LiMnPO4 was computed for Cu Kα.

Principal peaks in the range 10° ≤ 2θ ≤ 90°, by angle:
two_theta, intensity
14.89, 100.0
21.96, 50.5
25.04, 48.4
33.39, 79.9
34.06, 54.0
34.28, 66.7

Atomic structure:
```
LiMnPO4
1.0
5.7360 0.0000 0.0000
1.6874 6.0933 0.0000
0.8449 2.0012 9.0517
Li Mn P O
4 4 4 16
Cartesian
1.8017 3.4539 2.1977
3.0327 5.2006 5.6440
5.2356 2.8939 3.4078
6.4666 4.6405 6.8540
3.5383 6.9129 8.2692
3.8706 6.3180 2.7493
4.3977 1.7765 6.3024
4.7300 1.1816 0.7825
1.7596 2.2885 5.2034
3.0072 3.7836 8.5751
5.2611 4.3109 0.4767
6.5087 5.8060 3.8483
2.0662 5.1882 3.2493
1.6961 2.9398 8.5421
1.4721 1.9993 3.6924
2.7300 5.0426 7.7089
3.8415 7.0635 5.9727
2.9945 3.2147 5.3486
2.5950 2.1205 0.9795
4.0447 5.1099 1.0389
4.2236 2.9846 8.0129
5.6733 5.9740 8.0722
5.2738 4.8798 3.7032
4.4268 1.0310 3.0790
5.5383 3.0519 1.3429
6.7963 6.0952 5.3593
6.5722 5.1546 0.5097
6.2021 2.9063 5.8024
```

=====

Record 3
Starting from a PBE+U-relaxed structure, the X-ray powder pattern of Li2MnP2O8 was computed for Cu Kα.

Principal peaks in the range 10° ≤ 2θ ≤ 90°, by angle:
two_theta, intensity
11.54, 100.0
20.36, 9.3
21.58, 35.9
24.97, 28.1
26.51, 40.8
35.87, 17.9

Atomic structure:
```
Li2MnP2O8
1.0
4.4127 -2.3887 0.0000
4.4127 2.3887 0.0000
-2.3459 0.0000 15.3299
Li Mn P O
4 2 4 16
Cartesian
3.2397 1.5217 7.6649
3.8845 1.3454 13.5224
4.4127 -1.5217 0.0000
5.0575 -1.3454 5.8574
3.9261 1.0210 10.6079
5.0991 -1.0210 2.9430
1.0603 0.9316 9.0565
3.5779 1.2842 4.5010
2.2332 -0.9316 1.3916
2.4050 -1.2842 12.1659
4.1073 2.1972 3.3853
1.3571 0.3705 1.3832
2.0800 0.8829 4.2401
3.7595 1.8912 5.8854
0.1841 -0.3705 9.0482
2.5249 0.4687 9.4210
0.9070 -0.8829 11.9051
3.6979 -0.4687 1.7560
3.1983 0.0753 12.1432
4.3867 0.9073 15.3037
4.3713 -0.0753 4.4783
6.1250 0.4893 2.4569
4.9521 -0.4893 10.1219
2.5866 -1.8912 13.5503
5.5596 -0.9073 7.6388
2.9344 -2.1972 11.0502
```

=====

Record 4
Starting from a PBE+U-relaxed structure, the X-ray powder pattern of LiMnPO4 was computed for Cu Kα.

Principal peaks in the range 10° ≤ 2θ ≤ 90°, by angle:
two_theta, intensity
15.37, 29.1
21.48, 100.0
23.16, 52.1
28.96, 21.2
31.04, 24.2
34.82, 58.0

Atomic structure:
```
LiMnPO4
1.0
5.1460 0.0000 0.0000
0.0000 10.3199 0.0000
-5.1259 0.0000 6.9475
Li Mn P O
4 4 4 16
Cartesian
-1.5616 1.5590 3.4555
-4.1246 3.6009 6.9292
4.1447 6.7190 0.0183
1.5818 8.7609 3.4920
-1.0076 6.7601 3.4986
1.5553 8.7198 0.0249
-1.5352 1.6001 6.9225
1.0277 3.5598 3.4488
-3.5526 6.1412 5.2404
-0.9897 9.3388 1.7667
1.0098 0.9812 5.1807
3.5728 4.1788 1.7070
-1.2600 5.6988 1.7230
-3.8229 9.7811 5.1967
-4.2052 6.7891 6.4908
-1.6423 8.6908 3.0170
-3.5792 1.6426 6.4843
-1.0162 3.5173 3.0106
-2.0172 6.4000 5.2838
0.5457 9.0799 1.8101
-0.5256 1.2401 5.1374
2.0374 3.9199 1.6636
1.0364 6.8026 3.9369
3.5993 8.6773 0.4631
1.6624 1.6291 3.9304
4.2254 3.5308 0.4567
3.8431 0.5388 1.7507
1.2802 4.6212 5.2245
```

=====

Record 5
Starting from a PBE+U-relaxed structure, the X-ray powder pattern of Li3Mn3P4O16 was computed for Cu Kα.

Principal peaks in the range 10° ≤ 2θ ≤ 90°, by angle:
two_theta, intensity
14.22, 84.1
14.87, 100.0
18.13, 91.3
25.99, 37.5
28.89, 60.4
32.17, 50.9

Atomic structure:
```
Li3Mn3P4O16
1.0
5.1230 0.0000 0.0000
-1.8675 6.4254 0.0000
-0.2647 -2.4830 9.7798
Li Mn P O
3 3 4 16
Cartesian
0.0000 0.0000 0.0000
0.1096 0.1058 5.0185
2.8812 3.8366 4.7614
-0.9259 3.3915 1.5285
1.6278 3.2127 0.0000
3.9168 0.5509 8.2513
1.5117 -1.3803 7.2616
1.0314 2.4306 7.1378
1.9595 1.5118 2.6421
1.4792 5.3227 2.5183
-1.0805 4.8843 5.9601
-0.0427 1.3377 6.8386
-0.3324 1.5734 9.6899
0.5805 -0.9496 8.4576
1.0069 1.9737 1.4623
0.2328 4.4245 2.6765
1.2035 1.0360 3.8159
0.1818 3.6265 7.8462
2.8091 0.3159 1.9337
1.7874 2.9064 5.9639
2.7580 -0.4821 7.1033
1.9840 1.9687 8.3175
2.4104 4.8921 1.3222
3.3233 2.3690 0.0899
3.0336 2.6048 2.9412
4.0713 -0.9419 3.8197
```

=====

Record 6
Starting from a PBE+U-relaxed structure, the X-ray powder pattern of LiMnPO4 was computed for Cu Kα.

Principal peaks in the range 10° ≤ 2θ ≤ 90°, by angle:
two_theta, intensity
16.50, 57.3
22.76, 72.3
24.04, 100.0
27.39, 48.5
33.35, 51.7
35.14, 49.7

Atomic structure:
```
LiMnPO4
1.0
11.5773 0.0000 0.0000
0.0000 6.0660 0.0000
0.0000 0.0000 5.1071
Li Mn P O
4 4 4 16
Cartesian
0.7114 1.2953 0.0000
5.0773 4.3283 2.5536
6.5000 1.7377 0.0000
10.8659 4.7707 2.5536
1.9426 2.8204 2.5737
3.8461 5.8534 0.0201
7.7312 0.2126 2.5737
9.6347 3.2456 0.0201
1.0001 4.4527 5.0871
4.7885 1.4197 2.5336
6.7888 4.6463 5.0871
10.5771 1.6133 2.5336
0.4326 1.4587 3.1212
0.9406 4.3631 3.5395
1.6773 3.1476 0.5160
1.8249 5.7130 0.3883
3.9638 2.6800 2.9419
4.1114 0.1146 3.0695
4.8480 1.3301 0.9860
5.3561 4.4917 0.5676
6.2212 1.5743 3.1212
6.7292 4.7359 3.5395
7.4659 5.9515 0.5160
7.6135 3.3860 0.3883
9.7524 0.3530 2.9419
9.9000 2.9185 3.0695
10.6367 1.7029 0.9860
11.1447 4.6073 0.5676
```

=====

Record 7
Starting from a PBE+U-relaxed structure, the X-ray powder pattern of LiMnPO4 was computed for Cu Kα.

Principal peaks in the range 10° ≤ 2θ ≤ 90°, by angle:
two_theta, intensity
19.79, 39.7
20.05, 39.6
21.30, 52.1
24.22, 100.0
26.94, 51.4
31.43, 38.4

Atomic structure:
```
LiMnPO4
1.0
8.2477 0.0000 0.0000
0.0000 5.3404 0.0000
-2.3832 0.0000 8.2721
Li Mn P O
4 4 4 16
Cartesian
0.0000 0.8681 0.0000
-1.1916 4.4723 4.1361
3.3741 1.7267 2.7410
2.1825 3.6138 6.8771
0.8694 0.9378 7.8078
2.0609 4.4026 3.6718
5.9413 1.7993 5.2988
7.1329 3.5411 1.1628
0.1564 1.7111 3.1065
-1.0352 3.6293 7.2425
3.4091 0.9287 5.8512
4.6007 4.4117 1.7152
-0.7286 1.0469 4.1992
0.4630 4.2935 0.0632
-0.8727 2.0932 7.5528
0.3189 3.2472 3.4167
1.5245 0.9994 3.0546
0.3329 4.3411 7.1906
2.2203 1.7317 6.4516
3.4119 3.6088 2.3155
4.0996 0.5137 1.4032
2.9080 4.8268 5.5393
3.9624 1.5976 4.5531
5.1540 3.7429 0.4171
4.6333 0.9551 6.8116
5.8249 4.3853 2.6756
7.7096 1.6172 1.7143
6.5180 3.7232 5.8503
```

=====

Record 8
Starting from a PBE+U-relaxed structure, the X-ray powder pattern of LiMn2P2O8 was computed for Cu Kα.

Principal peaks in the range 10° ≤ 2θ ≤ 90°, by angle:
two_theta, intensity
21.28, 100.0
26.02, 38.7
26.75, 68.5
28.26, 45.5
29.51, 55.7
32.28, 42.8

Atomic structure:
```
LiMn2P2O8
1.0
4.9273 0.0000 0.0000
-0.4207 8.1104 0.0000
-0.1763 -2.3487 8.3494
Li Mn P O
2 4 4 16
Cartesian
0.0000 0.0000 0.0000
0.1259 2.4001 5.1170
0.1693 -0.3853 3.1707
0.7823 3.9678 2.6012
2.7896 -0.6696 6.1873
2.8071 3.0053 7.0114
-0.1945 5.3954 5.3939
0.2011 0.7752 7.7708
1.8856 6.7831 1.4796
2.4527 1.6614 3.9287
-0.0907 4.2258 4.3289
0.1384 3.7031 0.8596
1.2997 -0.1276 1.5228
1.1863 5.8166 5.8625
1.3477 5.8213 2.5913
1.7196 0.2797 4.2281
1.7052 0.6893 7.4483
1.8384 2.3414 2.6798
1.8526 6.1694 0.0949
2.1365 2.5697 5.1256
3.3365 7.2269 1.8021
3.9587 1.3748 3.7734
3.8899 4.8514 6.5653
3.9608 6.6194 4.7256
4.4031 -0.5836 7.6324
4.4520 1.7821 6.7956
```